For Mg2Mo2O5, a cell relaxed with PBE+U gives the theoretical PXRD pattern in this record (copper Kα).

Structure:
```
data_Mg2Mo2O5
_chemical_formula_sum 'Mg4 Mo4 O10'
_cell_length_a 3.2323
_cell_length_b 13.9605
_cell_length_c 5.2064
_cell_angle_alpha 90.00
_cell_angle_beta 90.00
_cell_angle_gamma 90.00
_symmetry_space_group_name_H-M 'P m c 21'
_symmetry_Int_Tables_number 26
loop_
_symmetry_equiv_pos_as_xyz
'x,y,z'
'-x,-y,z+1/2'
'-x,y,z'
'x,-y,z+1/2'
loop_
_atom_site_label
_atom_site_type_symbol
_atom_site_fract_x
_atom_site_fract_y
_atom_site_fract_z
Mg1 Mg 0.0000 0.0373 0.0000
Mg2 Mg 0.0000 0.4428 0.6384
Mo1 Mo 0.5000 0.1728 0.4944
Mo2 Mo 0.5000 0.3281 0.1381
O1 O 0.0000 0.1019 0.6561
O2 O 0.0000 0.4161 0.0161
O3 O 0.5000 0.0659 0.2191
O4 O 0.5000 0.2606 0.8457
O5 O 0.5000 0.4118 0.4451
```

Principal peaks in the range 2θ from 10° to 90°, low angle first:
2θ (°), I/Imax
21.29, 1000
27.60, 402
30.48, 633
30.84, 958
33.25, 271
35.11, 580
41.86, 503
49.01, 409
60.96, 285
63.11, 270